For SrLaTiMnO6, a GGA+U-relaxed structure gives the simulated powder diffractogram in this record (Cu Kα (λ = 1.5418 Å)).
Lines closer than 0.1° are merged.

Top 10 peaks for 2θ = 10–90°, by angle:
| 2θ (°) | I (rel.) |
| --- | --- |
| 31.6 | 36 |
| 31.8 | 66 |
| 32.1 | 100 |
| 39.4 | 18 |
| 45.3 | 23 |
| 45.6 | 21 |
| 46.5 | 22 |
| 56.6 | 21 |
| 56.9 | 21 |
| 67.2 | 13 |

Structure:
abc: 5.5700 5.6172 9.6155
angles: 74.11 74.07 60.77
Space group P1 (No. 1)
Asymmetric unit:
Sr (0.0000, 0.0000, 0.0000)
Sr (0.4821, 0.5198, 0.5088)
La (0.2279, 0.2875, 0.2583)
La (0.7426, 0.7703, 0.7477)
Ti (0.3663, 0.3774, 0.8831)
Ti (0.8584, 0.9054, 0.3762)
Mn (0.1127, 0.1427, 0.6291)
Mn (0.6165, 0.6387, 0.1281)
O (0.0158, 0.5388, 0.4828)
O (0.0383, 0.4131, 0.0121)
O (0.1992, 0.7350, 0.7701)
O (0.2001, 0.8772, 0.2547)
O (0.3116, 0.2136, 0.7412)
O (0.4549, 0.5097, 0.0240)
O (0.4668, 0.9802, 0.4967)
O (0.5728, 0.9629, 0.9747)
O (0.6570, 0.3071, 0.2753)
O (0.7575, 0.3241, 0.7578)
O (0.7848, 0.7563, 0.2362)
O (0.9196, 0.0458, 0.5250)